The following is a calculated powder X-ray diffraction pattern of HoThHg3. It was derived from DFT lattice parameters and positions (PBE), using CuKα.

Lattice parameters (Å, degrees): 8.9607 8.9607 8.9607 145.01 138.32 55.52
Atoms (fractional coordinates):
Ho 0.3546 0.1046 0.2500
Ho 0.6454 0.8954 0.7500
Th 0.0596 0.3096 0.7500
Th 0.9404 0.6904 0.2500
Hg 0.1566 0.9066 0.2500
Hg 0.2594 0.5094 0.7500
Hg 0.4537 0.7037 0.7500
Hg 0.5463 0.2963 0.2500
Hg 0.7406 0.4906 0.2500
Hg 0.8434 0.0934 0.7500

Peak list (10 most intense, 2θ from 10° to 90°, sorted by position)
28.0 deg, d = 3.188 Å, rel. 79
32.8 deg, d = 2.733 Å, rel. 100
33.3 deg, d = 2.694 Å, rel. 51
43.6 deg, d = 2.075 Å, rel. 92
44.0 deg, d = 2.058 Å, rel. 47
59.1 deg, d = 1.563 Å, rel. 19
66.6 deg, d = 1.403 Å, rel. 27
68.1 deg, d = 1.377 Å, rel. 25
75.7 deg, d = 1.256 Å, rel. 16
87.4 deg, d = 1.116 Å, rel. 14